The following is a simulated powder diffraction line list of HfBeGe. It was derived from the PBE geometry in Alexandria, using λ = 1.5418 Å (Cu Kα).

Unit cell a=9.7786 b=3.7428 c=6.3535 alpha=90.00 beta=130.44 gamma=90.00
Space group C2/m (No. 12)
Symmetry-distinct sites (fractional):
Hf 0.0643 0.0000 0.3175 x4
Be 0.1411 0.5000 0.0969 x4
Ge 0.1824 0.5000 0.7438 x4

Largest 12 diffraction maxima, low angle first, 10 to 90 degrees two-theta:
two_theta	I_rel	(hkl)
18.35	22	0 0 1
26.66	58	1 1 0
28.09	21	2 0 -2
36.87	78	1 1 1
37.20	40	0 0 2
38.99	45	4 0 -1
39.12	100	3 1 -2
43.78	19	3 1 0
48.65	24	0 2 0
57.15	33	0 0 3
64.03	21	4 2 -1
64.99	17	3 1 -4

---

The following is a simulated powder diffraction line list of HfPaBe2Ge2. It was derived from the PBE geometry in Alexandria, using λ = 1.5418 Å (Cu Kα).

Unit cell a=3.8234 b=3.8234 c=7.7417 alpha=90.00 beta=90.00 gamma=120.00
Space group P-3m1 (No. 164)
Symmetry-distinct sites (fractional):
Hf 0.0000 0.0000 0.0000 x1
Pa 0.0000 0.0000 0.5000 x1
Be 0.3333 0.6667 0.2322 x2
Ge 0.3333 0.6667 0.7672 x2

Largest 12 diffraction maxima, low angle first, 10 to 90 degrees two-theta:
two_theta	I_rel	(hkl)
22.98	12	0 0 2
26.93	45	1 0 0
29.34	13	0 1 1
35.68	100	1 0 2
46.95	10	0 0 4
47.57	31	1 1 0
53.46	8	1 1 2
54.95	14	0 1 4
60.86	22	0 2 2
69.06	19	1 1 4
79.77	10	1 0 6
80.69	20	2 1 2